Calculated powder XRD pattern
Compound: Tb2EuS4
Radiation: λ = 1.5418 Å (Cu Kα)
Structure: a DFT-relaxed cell (PBE, the Materials Project)
Neutral-atom scattering factors, no anomalous dispersion.

Most intense lines, 15 to 90 degrees two-theta, by intensity:
| 2theta | Rel. int. |
| --- | --- |
| 25.80 | 100 |
| 33.45 | 58 |
| 39.84 | 35 |
| 33.62 | 29 |
| 48.04 | 25 |
| 50.62 | 25 |
| 68.27 | 23 |
| 39.95 | 17 |

Unit cell a=7.3251 b=7.3251 c=7.3251 alpha=109.32 beta=109.32 gamma=109.78
Fractional coordinates of all 14 atoms:
Tb 0.0005 0.1250 0.3755
Tb 0.3750 0.9995 0.1245
Tb 0.7495 0.6250 0.6245
Tb 0.8750 0.2505 0.8755
Eu 0.2500 0.7500 0.5000
Eu 0.5000 0.5000 0.0000
S 0.1141 0.5142 0.7480
S 0.1160 0.0161 0.7520
S 0.2642 0.3641 0.2480
S 0.4858 0.2339 0.5999
S 0.6340 0.8859 0.4001
S 0.6359 0.8840 0.9001
S 0.7661 0.3660 0.2520
S 0.9839 0.7358 0.0999